Entry 1:
The following is a theoretical XRD peak list of PmNdCd4. It was derived from a DFT-relaxed cell (GGA-PBE, Alexandria), using Cu Kα (λ = 1.5418 Å).
Lines closer than 0.1° are merged.

Peak list (10 most intense, 15° ≤ 2θ ≤ 90°, sorted by position)
2θ/deg  I/Imax  hkl
33.0  100  1 0 2
35.3  86  0 2 0
49.1  32  1 2 2
53.1  9  2 0 0
61.9  21  1 3 1
62.0  11  1 1 5
63.4  10  0 3 3
65.4  27  2 2 0
84.1  9  1 3 5
87.2  8  2 3 3

Structural model:
```
data_PmNdCd4
_chemical_formula_sum 'Pm1 Nd1 Cd4'
_symmetry_space_group_name_H-M 'P m m m'
_symmetry_Int_Tables_number 47
_cell_length_a 3.4499
_cell_length_b 5.0864
_cell_length_c 8.7864
_cell_angle_alpha 90.00
_cell_angle_beta 90.00
_cell_angle_gamma 90.00
loop_
_symmetry_equiv_pos_as_xyz
'x,y,z'
'-x,-y,-z'
'-x,-y,z'
'x,y,-z'
'x,-y,-z'
'-x,y,z'
'-x,y,-z'
'x,-y,z'
loop_
_atom_site_label
_atom_site_type_symbol
_atom_site_fract_x
_atom_site_fract_y
_atom_site_fract_z
Pm1 Pm 0.0000 0.0000 0.0000
Nd1 Nd 0.0000 0.5000 0.5000
Cd1 Cd 0.5000 0.0000 0.3324
Cd2 Cd 0.5000 0.5000 0.1659
```

Entry 2:
The following is a theoretical XRD peak list of Tb7Sm16Dy6. It was derived from a DFT-relaxed cell (GGA-PBE, Alexandria), using Cu Kα (λ = 1.5418 Å).
Lines closer than 0.1° are merged.

Peak list (10 most intense, 15° ≤ 2θ ≤ 90°, sorted by position)
2θ/deg  I/Imax  hkl
27.5  6  4 2 2
29.2  11  3 3 3
31.8  100  4 4 0
33.3  5  5 3 1
43.7  6  7 3 1
45.7  14  8 0 0
56.7  27  8 4 4
60.2  6  7 7 3
66.6  7  8 8 0
75.7  7  12 4 0

Structural model:
```
data_Tb7Sm16Dy6
_chemical_formula_sum 'Tb28 Sm64 Dy24'
_symmetry_space_group_name_H-M 'F m -3 m'
_symmetry_Int_Tables_number 225
_symmetry_space_group_name_Hall '-F 4 2 3'
_cell_length_a 15.8950
_cell_length_b 15.8950
_cell_length_c 15.8950
_cell_angle_alpha 90.00
_cell_angle_beta 90.00
_cell_angle_gamma 90.00
loop_
_atom_site_label
_atom_site_type_symbol
_atom_site_fract_x
_atom_site_fract_y
_atom_site_fract_z
Tb1 Tb 0.0000 0.0000 0.0000
Tb2 Tb 0.0000 0.2500 0.2500
Sm1 Sm 0.1249 0.1249 0.1249
Sm2 Sm 0.1503 0.1503 0.3497
Dy1 Dy 0.0000 0.0000 0.2685
```

Entry 3:
The following is a theoretical XRD peak list of ZrGaGe. It was derived from a DFT-relaxed cell (GGA-PBE, Alexandria), using Cu Kα (λ = 1.5418 Å).
Lines closer than 0.1° are merged.

Peak list (10 most intense, 15° ≤ 2θ ≤ 90°, sorted by position)
2θ/deg  I/Imax  hkl
36.1  24  0 6 0
37.6  100  1 3 1
47.0  14  2 0 0
47.3  14  0 0 2
60.7  14  2 6 0
60.9  10  0 6 2
65.9  15  1 9 1
80.4  12  2 6 2
81.1  10  3 3 1
81.4  10  1 3 3

Structural model:
```
data_ZrGaGe
_chemical_formula_sum 'Zr4 Ga4 Ge4'
_symmetry_space_group_name_H-M 'C m c m'
_symmetry_Int_Tables_number 63
_symmetry_space_group_name_Hall '-C 2c 2'
_cell_length_a 3.8629
_cell_length_b 14.9210
_cell_length_c 3.8460
_cell_angle_alpha 90.00
_cell_angle_beta 90.00
_cell_angle_gamma 90.00
loop_
_atom_site_label
_atom_site_type_symbol
_atom_site_fract_x
_atom_site_fract_y
_atom_site_fract_z
Zr1 Zr 0.0000 0.0963 0.2500
Ga1 Ga 0.0000 0.2483 0.7500
Ge1 Ge 0.0000 0.4327 0.2500
```

Entry 4:
The following is a theoretical XRD peak list of HoTiFe11N. It was derived from a DFT-relaxed cell (GGA-PBE, Alexandria), using Cu Kα (λ = 1.5418 Å).
Lines closer than 0.1° are merged.

Peak list (10 most intense, 15° ≤ 2θ ≤ 90°, sorted by position)
2θ/deg  I/Imax  hkl
29.9  42  1 2 1
36.6  26  1 3 0
36.8  25  1 0 3
37.6  21  2 0 0
42.0  36  0 4 0
42.4  100  0 0 4
42.5  54  1 2 3
43.3  90  2 0 2
48.5  25  2 2 2
71.2  23  3 3 2

Structural model:
```
data_HoTiFe11N
_chemical_formula_sum 'Ho2 Ti2 Fe22 N2'
_symmetry_space_group_name_H-M 'I m m 2'
_symmetry_Int_Tables_number 44
_cell_length_a 4.7860
_cell_length_b 8.5959
_cell_length_c 8.5326
_cell_angle_alpha 90.00
_cell_angle_beta 90.00
_cell_angle_gamma 90.00
loop_
_symmetry_equiv_pos_as_xyz
'x,y,z'
'-x,-y,z'
'-x,y,z'
'x,-y,z'
'x+1/2,y+1/2,z+1/2'
'-x+1/2,-y+1/2,z+1/2'
'-x+1/2,y+1/2,z+1/2'
'x+1/2,-y+1/2,z+1/2'
loop_
_atom_site_label
_atom_site_type_symbol
_atom_site_fract_x
_atom_site_fract_y
_atom_site_fract_z
Ho1 Ho 0.0000 0.0000 0.0000
Ti1 Ti 0.0000 0.0000 0.3731
Fe1 Fe 0.0000 0.0000 0.6504
Fe2 Fe 0.0000 0.2781 0.5102
Fe3 Fe 0.0000 0.3588 0.0074
Fe4 Fe 0.0000 0.5000 0.2809
Fe5 Fe 0.0000 0.5000 0.7301
Fe6 Fe 0.2495 0.2482 0.7570
N1 N 0.0000 0.5000 0.5059
```

Entry 5:
The following is a theoretical XRD peak list of Th2Tc2NiN6. It was derived from a DFT-relaxed cell (GGA-PBE, Alexandria), using Cu Kα (λ = 1.5418 Å).
Lines closer than 0.1° are merged.

Peak list (10 most intense, 15° ≤ 2θ ≤ 90°, sorted by position)
2θ/deg  I/Imax  hkl
21.1  24  0 1 2
30.8  100  1 1 0
34.0  74  0 1 5
46.5  33  2 0 5
54.7  20  3 0 0
56.8  37  1 2 5
62.9  16  1 0 10
64.0  15  2 2 0
74.6  16  3 1 5
80.0  13  2 1 10

Structural model:
```
data_Th2Tc2NiN6
_chemical_formula_sum 'Th6 Tc6 Ni3 N18'
_symmetry_space_group_name_H-M 'R -3 m'
_symmetry_Int_Tables_number 166
_symmetry_space_group_name_Hall '-R 3 2"'
_cell_length_a 5.8152
_cell_length_b 5.8152
_cell_length_c 15.4537
_cell_angle_alpha 90.00
_cell_angle_beta 90.00
_cell_angle_gamma 120.00
loop_
_atom_site_label
_atom_site_type_symbol
_atom_site_fract_x
_atom_site_fract_y
_atom_site_fract_z
Th1 Th 0.0000 0.0000 0.2097
Tc1 Tc 0.0000 0.0000 0.4064
Ni1 Ni 0.0000 0.0000 0.0000
N1 N 0.0303 0.5152 0.7545
```

Entry 6:
The following is a theoretical XRD peak list of In2SiPd8. It was derived from a DFT-relaxed cell (GGA-PBE, Alexandria), using Cu Kα (λ = 1.5418 Å).
Lines closer than 0.1° are merged.

Peak list (10 most intense, 15° ≤ 2θ ≤ 90°, sorted by position)
2θ/deg  I/Imax  hkl
33.5  35  4 0 -2
38.6  76  5 1 0
39.6  70  0 2 0
39.7  30  6 0 0
41.8  100  1 1 2
41.9  97  5 1 -2
57.4  20  6 2 0
73.5  38  1 3 2
77.3  26  6 2 2
77.9  22  4 2 -4

Structural model:
```
data_In2SiPd8
_chemical_formula_sum 'In4 Si2 Pd16'
_symmetry_space_group_name_H-M 'C 1 2/m 1'
_symmetry_Int_Tables_number 12
_cell_length_a 14.7813
_cell_length_b 4.5464
_cell_length_c 5.8205
_cell_angle_alpha 90.00
_cell_angle_beta 113.00
_cell_angle_gamma 90.00
loop_
_symmetry_equiv_pos_as_xyz
'x,y,z'
'-x,-y,-z'
'-x,y,-z'
'x,-y,z'
'x+1/2,y+1/2,z'
'-x+1/2,-y+1/2,-z'
'-x+1/2,y+1/2,-z'
'x+1/2,-y+1/2,z'
loop_
_atom_site_label
_atom_site_type_symbol
_atom_site_fract_x
_atom_site_fract_y
_atom_site_fract_z
In1 In 0.1846 0.0000 0.1842
Si1 Si 0.0000 0.5000 0.5000
Pd1 Pd 0.0003 0.0000 0.2546
Pd2 Pd 0.1328 0.5000 0.8895
Pd3 Pd 0.1336 0.5000 0.3782
Pd4 Pd 0.1829 0.0000 0.6834
```

Entry 7:
The following is a theoretical XRD peak list of LiBeH3. It was derived from a DFT-relaxed cell (GGA-PBE, Alexandria), using Cu Kα (λ = 1.5418 Å).
Lines closer than 0.1° are merged.

Peak list (10 most intense, 15° ≤ 2θ ≤ 90°, sorted by position)
2θ/deg  I/Imax  hkl
21.3  65  1 -1 0
22.0  69  1 0 -1
28.5  79  0 0 2
30.9  100  0 2 0
31.1  28  1 0 -2
31.2  30  1 -2 0
37.5  43  1 -1 2
41.6  41  1 2 -1
44.4  26  2 -1 1
46.2  25  0 2 2

Structural model:
```
data_LiBeH3
_chemical_formula_sum 'Li4 Be4 H12'
_symmetry_space_group_name_H-M 'P -1'
_symmetry_Int_Tables_number 2
_cell_length_a 4.6685
_cell_length_b 6.1395
_cell_length_c 6.4848
_cell_angle_alpha 96.25
_cell_angle_beta 100.77
_cell_angle_gamma 106.83
loop_
_symmetry_equiv_pos_as_xyz
'x,y,z'
'-x,-y,-z'
loop_
_atom_site_label
_atom_site_type_symbol
_atom_site_fract_x
_atom_site_fract_y
_atom_site_fract_z
Li1 Li 0.0744 0.3151 0.1622
Li2 Li 0.2715 0.3314 0.6860
Be1 Be 0.2602 0.8099 0.2408
Be2 Be 0.4144 0.7914 0.6288
H1 H 0.0242 0.1848 0.8787
H2 H 0.1903 0.8050 0.4473
H3 H 0.2391 0.6256 0.7301
H4 H 0.3203 0.2591 0.4062
H5 H 0.3300 0.6118 0.1612
H6 H 0.4732 0.0061 0.7715
```

Entry 8:
The following is a theoretical XRD peak list of CsLa4Tl5. It was derived from a DFT-relaxed cell (GGA-PBE, Alexandria), using Cu Kα (λ = 1.5418 Å).
Lines closer than 0.1° are merged.

Peak list (10 most intense, 15° ≤ 2θ ≤ 90°, sorted by position)
2θ/deg  I/Imax  hkl
30.6  100  1 0 5
31.3  74  1 1 0
33.8  38  1 0 6
44.9  28  2 0 0
55.3  38  2 1 5
57.3  17  2 1 6
57.8  18  1 1 11
65.3  9  2 2 0
67.3  11  2 0 11
74.2  13  3 1 0

Structural model:
```
data_CsLa4Tl5
_chemical_formula_sum 'Cs1 La4 Tl5'
_symmetry_space_group_name_H-M 'P 4/m m m'
_symmetry_Int_Tables_number 123
_symmetry_space_group_name_Hall '-P 4 2'
_cell_length_a 4.0401
_cell_length_b 4.0401
_cell_length_c 21.1290
_cell_angle_alpha 90.00
_cell_angle_beta 90.00
_cell_angle_gamma 90.00
loop_
_atom_site_label
_atom_site_type_symbol
_atom_site_fract_x
_atom_site_fract_y
_atom_site_fract_z
Cs1 Cs 0.0000 0.0000 0.0000
La1 La 0.0000 0.0000 0.2207
La2 La 0.0000 0.0000 0.4071
Tl1 Tl 0.5000 0.5000 0.1365
Tl2 Tl 0.5000 0.5000 0.3152
Tl3 Tl 0.5000 0.5000 0.5000
```